# LiCo2P2O8
Theoretical X-ray powder pattern, a wavelength of 1.5418 Å. Input: the GGA+U geometry in Alexandria.

Cell and atoms:
```
LiCo2P2O8
1.0
8.406 0.000 0.000
0.000 5.172 0.000
-2.539 0.000 8.099
Li Co P O
2 4 4 16
Direct
0.000 0.168 0.000 Li
0.000 0.832 0.500 Li
0.378 0.189 0.942 Co
0.378 0.811 0.442 Co
0.854 0.330 0.596 Co
0.854 0.670 0.096 Co
0.234 0.314 0.561 P
0.234 0.686 0.061 P
0.752 0.163 0.226 P
0.752 0.837 0.726 P
0.068 0.199 0.572 O
0.068 0.801 0.072 O
0.210 0.396 0.003 O
0.210 0.604 0.503 O
0.297 0.155 0.437 O
0.297 0.845 0.937 O
0.367 0.307 0.734 O
0.367 0.693 0.234 O
0.586 0.151 0.080 O
0.586 0.849 0.580 O
0.717 0.304 0.369 O
0.717 0.696 0.869 O
0.819 0.115 0.774 O
0.819 0.885 0.274 O
0.880 0.305 0.156 O
0.880 0.695 0.656 O
```

Largest 12 diffraction maxima, by intensity, 5 to 70 degrees two-theta:
2θ/deg	I_rel
21.58	100.0
22.17	83.4
27.50	74.6
27.69	38.9
31.46	32.1
21.95	27.8
34.69	26.3
36.48	21.3
20.40	18.6
21.42	17.8
60.17	16.4
37.58	15.8


# LiCoP4O12
Theoretical X-ray powder pattern, a wavelength of 1.5418 Å. Input: the GGA+U geometry in Alexandria.

Cell and atoms:
```
LiCoP4O12
1.0
8.588 -6.157 0.000
8.588 6.157 0.000
-1.025 0.000 5.070
Li Co P O
2 2 8 24
Direct
0.093 0.093 0.044 Li
0.907 0.907 0.956 Li
0.000 0.500 0.500 Co
0.500 0.000 0.500 Co
0.133 0.708 0.330 P
0.194 0.436 0.033 P
0.292 0.867 0.670 P
0.436 0.194 0.033 P
0.564 0.806 0.967 P
0.708 0.133 0.330 P
0.806 0.564 0.967 P
0.867 0.292 0.670 P
0.057 0.822 0.178 O
0.060 0.662 0.507 O
0.102 0.402 0.188 O
0.162 0.420 0.737 O
0.178 0.943 0.822 O
0.211 0.580 0.133 O
0.266 0.734 0.500 O
0.338 0.940 0.493 O
0.346 0.346 0.104 O
0.402 0.102 0.188 O
0.420 0.162 0.737 O
0.420 0.789 0.867 O
0.580 0.211 0.133 O
0.580 0.838 0.263 O
0.598 0.898 0.812 O
0.654 0.654 0.896 O
0.662 0.060 0.507 O
0.734 0.266 0.500 O
0.789 0.420 0.867 O
0.822 0.057 0.178 O
0.838 0.580 0.263 O
0.898 0.598 0.812 O
0.940 0.338 0.493 O
0.943 0.178 0.822 O
```

Largest 12 diffraction maxima, by intensity, 5 to 70 degrees two-theta:
2θ/deg	I_rel
14.39	100.0
10.51	59.7
22.72	42.3
34.06	30.9
17.37	30.8
24.67	23.7
18.56	19.4
26.92	15.5
28.67	11.7
26.55	10.6
35.15	10.4
27.46	9.4


# Li2CoP2O7
Theoretical X-ray powder pattern, a wavelength of 1.5418 Å. Input: the GGA+U geometry in Alexandria.

Cell and atoms:
```
Li2CoP2O7
1.0
-3.447 6.544 3.485
3.447 -6.544 3.485
3.447 6.544 -3.485
Li Co P O
4 2 4 14
Direct
0.269 0.000 0.769 Li
0.269 0.500 0.269 Li
0.731 0.000 0.231 Li
0.731 0.500 0.731 Li
0.500 0.000 0.000 Co
0.500 0.500 0.500 Co
0.082 0.441 0.640 P
0.301 0.441 0.860 P
0.699 0.559 0.140 P
0.918 0.559 0.360 P
0.083 0.333 0.750 O
0.153 0.711 0.442 O
0.207 0.384 0.453 O
0.207 0.754 0.823 O
0.231 0.289 0.942 O
0.431 0.384 0.677 O
0.431 0.754 0.047 O
0.569 0.246 0.953 O
0.569 0.616 0.323 O
0.769 0.711 0.058 O
0.793 0.246 0.177 O
0.793 0.616 0.547 O
0.847 0.289 0.558 O
0.917 0.667 0.250 O
```

Largest 12 diffraction maxima, by intensity, 5 to 70 degrees two-theta:
2θ/deg	I_rel
18.10	100.0
29.71	78.1
13.53	38.1
37.71	36.3
14.40	24.0
59.59	22.6
24.06	21.6
32.91	17.8
39.25	11.4
47.92	8.8
29.28	8.6
49.28	8.4


# LiCo2P2O8
Theoretical X-ray powder pattern, a wavelength of 1.5418 Å. Input: the GGA+U geometry in Alexandria.

Cell and atoms:
```
LiCo2P2O8
1.0
5.147 0.000 0.000
0.000 6.705 0.000
-0.082 0.000 10.614
Li Co P O
2 4 4 16
Direct
0.000 0.227 0.000 Li
0.000 0.773 0.500 Li
0.503 0.059 0.432 Co
0.503 0.941 0.932 Co
0.991 0.461 0.249 Co
0.991 0.539 0.749 Co
0.001 0.282 0.513 P
0.001 0.718 0.013 P
0.498 0.219 0.166 P
0.498 0.781 0.666 P
0.302 0.256 0.500 O
0.302 0.744 0.000 O
0.355 0.403 0.213 O
0.355 0.597 0.713 O
0.386 0.159 0.033 O
0.386 0.841 0.533 O
0.456 0.039 0.259 O
0.456 0.961 0.759 O
0.793 0.256 0.153 O
0.793 0.744 0.653 O
0.870 0.087 0.456 O
0.870 0.913 0.956 O
0.923 0.301 0.650 O
0.923 0.699 0.150 O
0.930 0.470 0.433 O
0.930 0.530 0.933 O
```

Largest 12 diffraction maxima, by intensity, 5 to 70 degrees two-theta:
2θ/deg	I_rel
21.77	100.0
15.63	65.7
21.35	50.1
34.86	29.8
23.35	25.0
31.56	25.0
33.78	18.6
36.24	14.3
28.52	13.9
32.98	11.6
41.32	11.1
59.04	11.1